# 1
Structure and computed XRD peak list of Tl3Cd8Sn (the PBE geometry in Alexandria; CuKα).
Lines closer than 0.1° are merged.

Cell and atoms:
```
data_Tl3Cd8Sn
_chemical_formula_sum 'Tl9 Cd24 Sn3'
_cell_length_a 6.0655
_cell_length_b 6.0655
_cell_length_c 29.3456
_cell_angle_alpha 90.00
_cell_angle_beta 90.00
_cell_angle_gamma 120.00
_symmetry_space_group_name_H-M 'R 3 m'
_symmetry_Int_Tables_number 160
_symmetry_space_group_name_Hall 'R 3 -2"'
loop_
_atom_site_label
_atom_site_type_symbol
_atom_site_fract_x
_atom_site_fract_y
_atom_site_fract_z
_atom_site_occupancy
Tl1 Tl 0.0000 0.0000 0.0000 1
Tl2 Tl 0.0000 0.0000 0.1252 1
Tl3 Tl 0.0000 0.0000 0.6250 1
Cd1 Cd 0.0000 0.0000 0.3127 1
Cd2 Cd 0.0000 0.0000 0.8127 1
Cd3 Cd 0.0006 0.5003 0.0632 1
Cd4 Cd 0.1669 0.3338 0.8956 1
Sn1 Sn 0.0000 0.0000 0.5006 1
```

Peak list (10 most intense, 10° ≤ 2θ ≤ 90°, most intense first)
2θ = 34.81°, I 1000, hkl 1 1 6; 2θ = 34.70°, I 506, hkl 2 0 2; 2θ = 35.03°, I 496, hkl 1 0 10; 2θ = 29.45°, I 425, hkl 1 1 0; 2θ = 29.71°, I 416, hkl 0 1 8; 2θ = 36.33°, I 405, hkl 0 2 4; 2θ = 61.11°, I 274, hkl 2 2 0; 2θ = 61.68°, I 266, hkl 0 2 16; 2θ = 55.91°, I 257, hkl 2 1 10; 2θ = 55.76°, I 256, hkl 3 0 6


# 2
Structure and computed XRD peak list of Ni5Ge2 (the PBE geometry in Alexandria; CuKα).
Lines closer than 0.1° are merged.

Cell and atoms:
```
data_Ni5Ge2
_chemical_formula_sum 'Ni20 Ge8'
_cell_length_a 5.8066
_cell_length_b 11.2877
_cell_length_c 5.1152
_cell_angle_alpha 90.00
_cell_angle_beta 90.00
_cell_angle_gamma 90.00
_symmetry_space_group_name_H-M 'C c c m'
_symmetry_Int_Tables_number 66
_symmetry_space_group_name_Hall '-C 2 2c'
loop_
_atom_site_label
_atom_site_type_symbol
_atom_site_fract_x
_atom_site_fract_y
_atom_site_fract_z
_atom_site_occupancy
Ni1 Ni 0.0000 0.0000 0.2500 1
Ni2 Ni 0.0000 0.2289 0.2500 1
Ni3 Ni 0.1913 0.3913 0.0000 1
Ge1 Ge 0.2177 0.3893 0.5000 1
```

Peak list (10 most intense, 10° ≤ 2θ ≤ 90°, most intense first)
2θ = 44.79°, I 1000, hkl 2 4 0; 2θ = 47.37°, I 997, hkl 2 0 2; 2θ = 48.01°, I 992, hkl 0 4 2; 2θ = 39.31°, I 379, hkl 1 1 2; 2θ = 42.99°, I 346, hkl 1 5 0; 2θ = 47.67°, I 301, hkl 3 1 0; 2θ = 74.47°, I 293, hkl 3 5 2; 2θ = 85.40°, I 160, hkl 2 8 2; 2θ = 83.98°, I 152, hkl 4 4 2; 2θ = 74.15°, I 148, hkl 0 0 4


# 3
Structure and computed XRD peak list of ErNiS (the PBE geometry in Alexandria; CuKα).
Lines closer than 0.1° are merged.

Cell and atoms:
```
data_ErNiS
_chemical_formula_sum 'Er2 Ni2 S2'
_cell_length_a 3.6127
_cell_length_b 3.6127
_cell_length_c 9.7630
_cell_angle_alpha 90.00
_cell_angle_beta 90.00
_cell_angle_gamma 120.00
_symmetry_space_group_name_H-M 'P -6 m 2'
_symmetry_Int_Tables_number 187
_symmetry_space_group_name_Hall 'P -6 2'
loop_
_atom_site_label
_atom_site_type_symbol
_atom_site_fract_x
_atom_site_fract_y
_atom_site_fract_z
_atom_site_occupancy
Er1 Er 0.0000 0.0000 0.1957 1
Ni1 Ni 0.3333 0.6667 0.3802 1
S1 S 0.0000 0.0000 0.5000 1
S2 S 0.3333 0.6667 0.0000 1
```

Peak list (10 most intense, 10° ≤ 2θ ≤ 90°, most intense first)
2θ = 39.97°, I 1000, hkl 1 0 3; 2θ = 28.53°, I 830, hkl 1 0 0; 2θ = 34.04°, I 637, hkl 1 0 2; 2θ = 50.53°, I 465, hkl 1 1 0; 2θ = 18.17°, I 250, hkl 0 0 2; 2θ = 71.10°, I 227, hkl 1 1 5; 2θ = 66.29°, I 219, hkl 2 0 3; 2θ = 29.99°, I 212, hkl 1 0 1; 2θ = 87.84°, I 210, hkl 2 1 3; 2θ = 55.47°, I 174, hkl 1 0 5